Entry 1:
# SrTc2OsO8
Computed powder X-ray diffraction pattern, Cu Kα X-rays. Input: a structure optimized by DFT (PBE).
Neutral-atom scattering factors, no anomalous dispersion.

Cell lengths 4.8645, 6.2757, 4.8688 Å; angles 90.00, 92.61, 90.00 degrees
Space group P2/m (No. 10)
Unique sites:
1 Sr 0.0000 0.0000 0.0000
2 Tc 0.5000 0.2630 0.5000
3 Os 0.0000 0.5000 0.0000
4 O 0.2217 0.2976 0.2203
5 O 0.2844 0.5000 0.7140
6 O 0.3372 0.0000 0.6609

Principal peaks in the range 10 to 80 degrees two-theta, low angle first:
2theta	intensity
14.1	19
23.1	12
25.3	70
26.5	58
34.0	100
37.0	28
50.4	44
51.8	36
52.0	11
54.6	11
61.1	11
64.7	23


Entry 2:
# SrTlOsO6
Computed powder X-ray diffraction pattern, Cu Kα X-rays. Input: a structure optimized by DFT (PBE).
Neutral-atom scattering factors, no anomalous dispersion.

Cell lengths 5.3394, 5.3677, 6.2658 Å; angles 66.40, 85.72, 75.81 degrees
Space group P1 (No. 1)
Unique sites:
1 Sr 0.0000 0.0000 0.0000
2 Tl 0.4891 0.2225 0.5292
3 Os 0.9914 0.6805 0.6192
4 O 0.1888 0.9078 0.6399
5 O 0.1916 0.6171 0.3655
6 O 0.2326 0.3695 0.8247
7 O 0.7597 0.7985 0.8224
8 O 0.7802 0.9867 0.3636
9 O 0.7948 0.4358 0.6376

Principal peaks in the range 10 to 80 degrees two-theta, low angle first:
2theta	intensity
15.4	100
22.1	57
22.8	68
28.2	55
30.9	22
31.2	19
34.5	19
34.7	19
36.0	25
36.1	25
42.9	21
46.6	18


Entry 3:
# SrYOsO2
Computed powder X-ray diffraction pattern, Cu Kα X-rays. Input: a structure optimized by DFT (PBE).
Neutral-atom scattering factors, no anomalous dispersion.

Cell lengths 4.2274, 4.2274, 5.1974 Å; angles 90.00, 90.00, 90.00 degrees
Space group P4/mmm (No. 123)
Unique sites:
1 Sr 0.0000 0.0000 0.0000
2 Y 0.5000 0.5000 0.0000
3 Os 0.5000 0.5000 0.5000
4 O 0.0000 0.5000 0.5000

Principal peaks in the range 10 to 80 degrees two-theta, low angle first:
2theta	intensity
21.0	78
27.2	78
29.9	100
34.5	50
40.8	28
42.8	54
46.3	62
51.4	28
56.1	48
60.6	18
70.4	18
73.0	21


Entry 4:
# TbOsO5
Computed powder X-ray diffraction pattern, Cu Kα X-rays. Input: a structure optimized by DFT (PBE).
Neutral-atom scattering factors, no anomalous dispersion.

Cell lengths 9.0377, 6.4554, 7.5270 Å; angles 90.00, 114.58, 90.00 degrees
Space group C2/c (No. 15)
Unique sites:
1 Tb 0.0000 0.0454 0.2500
2 Os 0.0000 0.5000 0.0000
3 O 0.0000 0.4117 0.2500
4 O 0.0123 0.2059 0.9651
5 O 0.2192 0.4832 0.6130

Principal peaks in the range 10 to 80 degrees two-theta, low angle first:
2theta	intensity
21.6	98
27.4	100
27.6	44
35.2	70
35.4	30
44.1	24
48.7	20
52.7	32
53.6	16
53.9	21
56.6	15
61.3	15